Diffraction record for YMg14Mn. The X-ray diffraction stick pattern is simulated, not measured: it uses a structure optimized by DFT (GGA-PBE) and copper Kα.

Main lines, in order of rising 2θ (2θ from 10° to 90°):
2θ/deg, I_rel, h k l
15.88, 20, 1 0 0
23.53, 15, 1 0 2
32.07, 27, 2 0 0
34.92, 25, 0 0 4
36.65, 100, 2 0 2
48.14, 16, 2 0 4
57.17, 17, 2 2 0
63.76, 18, 2 0 6
68.78, 19, 2 2 4
69.85, 14, 4 0 2

Structure:
Unit cell a=6.4446 b=6.4446 c=10.2768 alpha=90.00 beta=90.00 gamma=120.00
Space group P-6m2 (No. 187)
Symmetry-distinct sites (fractional):
Y 0.0000 0.0000 0.0000
Mg 0.0115 0.5058 0.0000
Mg 0.1648 0.3295 0.2596
Mg 0.5006 0.0012 0.5000
Mg 0.6667 0.3333 0.2452
Mn 0.0000 0.0000 0.5000